[1]
For Mg9Mn2N8, a structure optimized by DFT (GGA-PBE) gives the calculated PXRD pattern in this record (copper Kα).
Kinematic intensities with the Lorentz-polarization factor, no thermal factor.

Most intense lines, 2θ from 10° to 90°, in order of rising 2θ:
| d [Å] | I/Imax |
| --- | --- |
| 7.545 | 52.4 |
| 3.693 | 78.3 |
| 3.282 | 28.5 |
| 2.550 | 52.5 |
| 2.519 | 75.1 |
| 2.283 | 51.6 |
| 2.165 | 100.0 |
| 2.145 | 59.3 |
| 1.571 | 27.3 |
| 1.524 | 32.6 |

Atomic structure:
```
data_Mg9Mn2N8
_cell_length_a 8.249
_cell_length_b 8.249
_cell_length_c 7.140
_cell_angle_alpha 107.91
_cell_angle_beta 107.91
_cell_angle_gamma 30.43
_symmetry_space_group_name_H-M 'P 1'
_symmetry_Int_Tables_number 1
_symmetry_space_group_name_Hall 'P 1'
loop_
_atom_site_label
_atom_site_type_symbol
_atom_site_fract_x
_atom_site_fract_y
_atom_site_fract_z
Mg1 Mg 0.000 0.000 0.000
Mg2 Mg 0.095 0.095 0.453
Mg3 Mg 0.169 0.169 0.928
Mg4 Mg 0.329 0.329 0.753
Mg5 Mg 0.461 0.461 0.288
Mg6 Mg 0.539 0.539 0.712
Mg7 Mg 0.671 0.671 0.247
Mg8 Mg 0.831 0.831 0.072
Mg9 Mg 0.905 0.905 0.547
Mn1 Mn 0.291 0.291 0.297
Mn2 Mn 0.709 0.709 0.703
N1 N 0.034 0.034 0.753
N2 N 0.173 0.173 0.241
N3 N 0.321 0.321 0.082
N4 N 0.390 0.390 0.516
N5 N 0.610 0.610 0.484
N6 N 0.679 0.679 0.918
N7 N 0.827 0.827 0.759
N8 N 0.966 0.966 0.247
```

[2]
For CdSn3Ge, a structure optimized by DFT (GGA-PBE) gives the calculated PXRD pattern in this record (copper Kα).
Kinematic intensities with the Lorentz-polarization factor, no thermal factor.

Most intense lines, 2θ from 10° to 90°, in order of rising 2θ:
| d [Å] | I/Imax |
| --- | --- |
| 5.391 | 11.5 |
| 3.112 | 100.0 |
| 2.695 | 96.9 |
| 1.906 | 70.8 |
| 1.625 | 45.8 |
| 1.556 | 24.7 |
| 1.348 | 11.6 |
| 1.237 | 19.4 |
| 1.205 | 32.9 |
| 1.100 | 26.0 |

Atomic structure:
```
data_CdSn3Ge
_cell_length_a 5.391
_cell_length_b 5.391
_cell_length_c 5.391
_cell_angle_alpha 90.00
_cell_angle_beta 90.00
_cell_angle_gamma 90.00
_symmetry_space_group_name_H-M 'P 1'
_symmetry_Int_Tables_number 1
_symmetry_space_group_name_Hall 'P 1'
loop_
_atom_site_label
_atom_site_type_symbol
_atom_site_fract_x
_atom_site_fract_y
_atom_site_fract_z
Cd1 Cd 0.000 0.000 0.000
Sn1 Sn 0.000 0.500 0.500
Sn2 Sn 0.500 0.000 0.500
Sn3 Sn 0.500 0.500 0.000
Ge1 Ge 0.500 0.500 0.500
```

[3]
For Tb2Ge6Pt21, a structure optimized by DFT (GGA-PBE) gives the calculated PXRD pattern in this record (copper Kα).
Kinematic intensities with the Lorentz-polarization factor, no thermal factor.

Most intense lines, 2θ from 10° to 90°, in order of rising 2θ:
| d [Å] | I/Imax |
| --- | --- |
| 2.800 | 13.2 |
| 2.556 | 19.1 |
| 2.410 | 100.0 |
| 2.214 | 31.6 |
| 2.117 | 31.5 |
| 2.087 | 16.2 |
| 1.888 | 12.7 |
| 1.476 | 23.5 |
| 1.446 | 15.0 |
| 1.278 | 21.6 |

Atomic structure:
```
data_Tb2Ge6Pt21
_cell_length_a 8.854
_cell_length_b 8.854
_cell_length_c 8.854
_cell_angle_alpha 60.00
_cell_angle_beta 60.00
_cell_angle_gamma 60.00
_symmetry_space_group_name_H-M 'P 1'
_symmetry_Int_Tables_number 1
_symmetry_space_group_name_Hall 'P 1'
loop_
_atom_site_label
_atom_site_type_symbol
_atom_site_fract_x
_atom_site_fract_y
_atom_site_fract_z
Tb1 Tb 0.250 0.250 0.250
Tb2 Tb 0.750 0.750 0.750
Ge1 Ge 0.233 0.233 0.767
Ge2 Ge 0.233 0.767 0.233
Ge3 Ge 0.233 0.767 0.767
Ge4 Ge 0.767 0.233 0.233
Ge5 Ge 0.767 0.233 0.767
Ge6 Ge 0.767 0.767 0.233
Pt1 Pt 0.119 0.119 0.119
Pt2 Pt 0.119 0.119 0.644
Pt3 Pt 0.119 0.644 0.119
Pt4 Pt 0.153 0.500 0.500
Pt5 Pt 0.153 0.500 0.847
Pt6 Pt 0.153 0.847 0.500
Pt7 Pt 0.356 0.881 0.881
Pt8 Pt 0.500 0.153 0.500
Pt9 Pt 0.500 0.153 0.847
Pt10 Pt 0.500 0.500 0.153
Pt11 Pt 0.500 0.500 0.500
Pt12 Pt 0.500 0.500 0.847
Pt13 Pt 0.500 0.847 0.153
Pt14 Pt 0.500 0.847 0.500
Pt15 Pt 0.644 0.119 0.119
Pt16 Pt 0.847 0.153 0.500
Pt17 Pt 0.847 0.500 0.153
Pt18 Pt 0.847 0.500 0.500
Pt19 Pt 0.881 0.356 0.881
Pt20 Pt 0.881 0.881 0.356
Pt21 Pt 0.881 0.881 0.881
```

[4]
For Dy4SbTe2S, a structure optimized by DFT (GGA-PBE) gives the calculated PXRD pattern in this record (copper Kα).
Kinematic intensities with the Lorentz-polarization factor, no thermal factor.

Most intense lines, 2θ from 10° to 90°, in order of rising 2θ:
| d [Å] | I/Imax |
| --- | --- |
| 3.014 | 100.0 |
| 2.756 | 7.5 |
| 2.156 | 11.2 |
| 2.132 | 46.8 |
| 2.104 | 12.7 |
| 1.754 | 10.8 |
| 1.726 | 12.8 |
| 1.349 | 8.5 |
| 1.347 | 8.9 |
| 1.220 | 7.6 |

Atomic structure:
```
data_Dy4SbTe2S
_cell_length_a 8.529
_cell_length_b 8.529
_cell_length_c 8.529
_cell_angle_alpha 120.89
_cell_angle_beta 119.27
_cell_angle_gamma 89.87
_symmetry_space_group_name_H-M 'P 1'
_symmetry_Int_Tables_number 1
_symmetry_space_group_name_Hall 'P 1'
loop_
_atom_site_label
_atom_site_type_symbol
_atom_site_fract_x
_atom_site_fract_y
_atom_site_fract_z
Dy1 Dy 0.269 0.264 0.495
Dy2 Dy 0.269 0.775 0.005
Dy3 Dy 0.281 0.248 0.033
Dy4 Dy 0.285 0.752 0.533
Dy5 Dy 0.715 0.248 0.467
Dy6 Dy 0.719 0.752 0.967
Dy7 Dy 0.731 0.225 0.995
Dy8 Dy 0.731 0.736 0.505
Sb1 Sb 0.000 0.000 0.000
Sb2 Sb 0.500 0.000 0.500
Te1 Te 0.000 0.000 0.500
Te2 Te 0.000 0.500 0.000
Te3 Te 0.000 0.500 0.500
Te4 Te 0.500 0.500 0.000
S1 S 0.500 0.000 0.000
S2 S 0.500 0.500 0.500
```

[5]
For Cr3Ag5, a structure optimized by DFT (GGA-PBE) gives the calculated PXRD pattern in this record (copper Kα).
Kinematic intensities with the Lorentz-polarization factor, no thermal factor.

Most intense lines, 2θ from 10° to 90°, in order of rising 2θ:
| d [Å] | I/Imax |
| --- | --- |
| 2.630 | 23.4 |
| 2.608 | 25.4 |
| 2.537 | 32.8 |
| 2.348 | 40.5 |
| 2.336 | 27.2 |
| 2.330 | 27.0 |
| 2.280 | 100.0 |
| 2.141 | 55.5 |
| 1.450 | 16.9 |
| 1.441 | 15.9 |

Atomic structure:
```
data_Cr3Ag5
_cell_length_a 7.844
_cell_length_b 7.844
_cell_length_c 7.817
_cell_angle_alpha 96.44
_cell_angle_beta 96.44
_cell_angle_gamma 140.83
_symmetry_space_group_name_H-M 'P 1'
_symmetry_Int_Tables_number 1
_symmetry_space_group_name_Hall 'P 1'
loop_
_atom_site_label
_atom_site_type_symbol
_atom_site_fract_x
_atom_site_fract_y
_atom_site_fract_z
Cr1 Cr 0.000 0.000 0.000
Cr2 Cr 0.076 0.576 0.152
Cr3 Cr 0.151 0.500 0.651
Cr4 Cr 0.500 0.151 0.651
Cr5 Cr 0.576 0.076 0.152
Cr6 Cr 0.651 0.651 0.302
Ag1 Ag 0.057 0.256 0.313
Ag2 Ag 0.076 0.076 0.651
Ag3 Ag 0.095 0.756 0.850
Ag4 Ag 0.256 0.057 0.313
Ag5 Ag 0.395 0.594 0.990
Ag6 Ag 0.557 0.895 0.453
Ag7 Ag 0.576 0.576 0.652
Ag8 Ag 0.594 0.395 0.990
Ag9 Ag 0.756 0.095 0.850
Ag10 Ag 0.895 0.557 0.453
```

[6]
For Na2NpSe4, a structure optimized by DFT (GGA-PBE) gives the calculated PXRD pattern in this record (copper Kα).
Kinematic intensities with the Lorentz-polarization factor, no thermal factor.

Most intense lines, 2θ from 10° to 90°, in order of rising 2θ:
| d [Å] | I/Imax |
| --- | --- |
| 6.840 | 100.0 |
| 6.448 | 26.3 |
| 3.589 | 37.3 |
| 3.224 | 21.0 |
| 2.915 | 46.0 |
| 2.457 | 17.7 |
| 2.233 | 21.1 |
| 2.162 | 32.0 |
| 2.123 | 16.6 |
| 2.016 | 18.1 |

Atomic structure:
```
data_Na2NpSe4
_cell_length_a 8.696
_cell_length_b 8.696
_cell_length_c 8.696
_cell_angle_alpha 124.72
_cell_angle_beta 122.00
_cell_angle_gamma 84.29
_symmetry_space_group_name_H-M 'P 1'
_symmetry_Int_Tables_number 1
_symmetry_space_group_name_Hall 'P 1'
loop_
_atom_site_label
_atom_site_type_symbol
_atom_site_fract_x
_atom_site_fract_y
_atom_site_fract_z
Na1 Na 0.000 0.000 0.500
Na2 Na 0.000 0.500 0.000
Na3 Na 0.395 0.145 0.250
Na4 Na 0.605 0.855 0.750
Np1 Np 0.000 0.500 0.500
Np2 Np 0.500 0.500 0.000
Se1 Se 0.203 0.703 0.501
Se2 Se 0.247 0.276 0.529
Se3 Se 0.247 0.719 0.971
Se4 Se 0.298 0.297 0.001
Se5 Se 0.702 0.703 0.999
Se6 Se 0.753 0.281 0.029
Se7 Se 0.753 0.724 0.471
Se8 Se 0.797 0.297 0.499
```

[7]
For Pm3Nd6Th, a structure optimized by DFT (GGA-PBE) gives the calculated PXRD pattern in this record (copper Kα).
Kinematic intensities with the Lorentz-polarization factor, no thermal factor.

Most intense lines, 2θ from 10° to 90°, in order of rising 2θ:
| d [Å] | I/Imax |
| --- | --- |
| 3.031 | 70.0 |
| 2.992 | 100.0 |
| 2.892 | 72.9 |
| 2.881 | 61.4 |
| 2.821 | 66.5 |
| 2.786 | 40.7 |
| 2.487 | 41.3 |
| 1.901 | 23.8 |
| 1.797 | 21.8 |
| 1.540 | 27.7 |

Atomic structure:
```
data_Pm3Nd6Th
_cell_length_a 13.454
_cell_length_b 3.594
_cell_length_c 14.704
_cell_angle_alpha 90.00
_cell_angle_beta 100.42
_cell_angle_gamma 90.00
_symmetry_space_group_name_H-M 'P 1'
_symmetry_Int_Tables_number 1
_symmetry_space_group_name_Hall 'P 1'
loop_
_atom_site_label
_atom_site_type_symbol
_atom_site_fract_x
_atom_site_fract_y
_atom_site_fract_z
Pm1 Pm 0.073 0.250 0.102
Pm2 Pm 0.375 0.750 0.497
Pm3 Pm 0.421 0.250 0.903
Pm4 Pm 0.579 0.750 0.097
Pm5 Pm 0.625 0.250 0.503
Pm6 Pm 0.927 0.750 0.898
Nd1 Nd 0.120 0.250 0.486
Nd2 Nd 0.188 0.750 0.919
Nd3 Nd 0.218 0.750 0.289
Nd4 Nd 0.268 0.750 0.700
Nd5 Nd 0.343 0.250 0.119
Nd6 Nd 0.499 0.750 0.309
Nd7 Nd 0.501 0.250 0.691
Nd8 Nd 0.657 0.750 0.881
Nd9 Nd 0.732 0.250 0.300
Nd10 Nd 0.782 0.250 0.711
Nd11 Nd 0.812 0.250 0.081
Nd12 Nd 0.880 0.750 0.514
Th1 Th 0.038 0.250 0.721
Th2 Th 0.962 0.750 0.279
```

[8]
For NaZnOs, a structure optimized by DFT (GGA-PBE) gives the calculated PXRD pattern in this record (copper Kα).
Kinematic intensities with the Lorentz-polarization factor, no thermal factor.

Most intense lines, 2θ from 10° to 90°, in order of rising 2θ:
| d [Å] | I/Imax |
| --- | --- |
| 5.465 | 100.0 |
| 5.108 | 15.0 |
| 2.732 | 22.3 |
| 2.198 | 15.5 |
| 2.167 | 22.2 |
| 2.162 | 23.7 |
| 2.039 | 15.9 |
| 1.894 | 18.8 |
| 1.883 | 11.6 |
| 1.712 | 13.4 |

Atomic structure:
```
data_NaZnOs
_cell_length_a 10.930
_cell_length_b 4.395
_cell_length_c 5.108
_cell_angle_alpha 90.00
_cell_angle_beta 90.41
_cell_angle_gamma 90.00
_symmetry_space_group_name_H-M 'P 1'
_symmetry_Int_Tables_number 1
_symmetry_space_group_name_Hall 'P 1'
loop_
_atom_site_label
_atom_site_type_symbol
_atom_site_fract_x
_atom_site_fract_y
_atom_site_fract_z
Na1 Na 0.000 0.000 0.000
Na2 Na 0.028 0.500 0.540
Na3 Na 0.500 0.500 0.000
Na4 Na 0.528 0.000 0.540
Zn1 Zn 0.231 0.500 0.066
Zn2 Zn 0.265 0.000 0.280
Zn3 Zn 0.731 0.000 0.066
Zn4 Zn 0.765 0.500 0.280
Os1 Os 0.280 0.000 0.779
Os2 Os 0.293 0.500 0.574
Os3 Os 0.780 0.500 0.779
Os4 Os 0.793 0.000 0.574
```

[9]
For Pr5Nd4Y3, a structure optimized by DFT (GGA-PBE) gives the calculated PXRD pattern in this record (copper Kα).
Kinematic intensities with the Lorentz-polarization factor, no thermal factor.

Most intense lines, 2θ from 10° to 90°, in order of rising 2θ:
| d [Å] | I/Imax |
| --- | --- |
| 3.180 | 34.0 |
| 3.148 | 46.0 |
| 3.114 | 44.4 |
| 3.028 | 100.0 |
| 2.952 | 38.1 |
| 2.894 | 56.8 |
| 2.828 | 77.4 |
| 2.798 | 34.1 |
| 2.735 | 55.1 |
| 1.576 | 33.5 |

Atomic structure:
```
data_Pr5Nd4Y3
_cell_length_a 8.826
_cell_length_b 8.826
_cell_length_c 9.564
_cell_angle_alpha 114.89
_cell_angle_beta 114.89
_cell_angle_gamma 40.13
_symmetry_space_group_name_H-M 'P 1'
_symmetry_Int_Tables_number 1
_symmetry_space_group_name_Hall 'P 1'
loop_
_atom_site_label
_atom_site_type_symbol
_atom_site_fract_x
_atom_site_fract_y
_atom_site_fract_z
Pr1 Pr 0.000 0.000 0.000
Pr2 Pr 0.328 0.328 0.611
Pr3 Pr 0.426 0.426 0.298
Pr4 Pr 0.574 0.574 0.702
Pr5 Pr 0.672 0.672 0.389
Nd1 Nd 0.083 0.083 0.444
Nd2 Nd 0.219 0.219 0.879
Nd3 Nd 0.781 0.781 0.121
Nd4 Nd 0.917 0.917 0.556
Y1 Y 0.208 0.208 0.227
Y2 Y 0.500 0.500 0.000
Y3 Y 0.792 0.792 0.773
```

[10]
For KLiAc, a structure optimized by DFT (GGA-PBE) gives the calculated PXRD pattern in this record (copper Kα).
Kinematic intensities with the Lorentz-polarization factor, no thermal factor.

Most intense lines, 2θ from 10° to 90°, in order of rising 2θ:
| d [Å] | I/Imax |
| --- | --- |
| 6.562 | 47.9 |
| 4.921 | 49.4 |
| 3.396 | 54.7 |
| 3.346 | 53.0 |
| 3.016 | 100.0 |
| 2.795 | 54.9 |
| 2.166 | 41.0 |
| 1.960 | 20.3 |
| 1.821 | 21.2 |
| 1.644 | 16.9 |

Atomic structure:
```
data_KLiAc
_cell_length_a 19.686
_cell_length_b 3.919
_cell_length_c 6.795
_cell_angle_alpha 90.00
_cell_angle_beta 90.00
_cell_angle_gamma 90.00
_symmetry_space_group_name_H-M 'P 1'
_symmetry_Int_Tables_number 1
_symmetry_space_group_name_Hall 'P 1'
loop_
_atom_site_label
_atom_site_type_symbol
_atom_site_fract_x
_atom_site_fract_y
_atom_site_fract_z
K1 K 0.164 0.000 0.000
K2 K 0.164 0.500 0.500
K3 K 0.836 0.000 0.000
K4 K 0.836 0.500 0.500
Li1 Li 0.000 0.000 0.335
Li2 Li 0.000 0.500 0.835
Li3 Li 0.500 0.000 0.993
Li4 Li 0.500 0.500 0.493
Ac1 Ac 0.357 0.000 0.326
Ac2 Ac 0.357 0.500 0.826
Ac3 Ac 0.643 0.000 0.326
Ac4 Ac 0.643 0.500 0.826
```

[11]
For Cs3HoTe3, a structure optimized by DFT (GGA-PBE) gives the calculated PXRD pattern in this record (copper Kα).
Kinematic intensities with the Lorentz-polarization factor, no thermal factor.

Most intense lines, 2θ from 10° to 90°, in order of rising 2θ:
| d [Å] | I/Imax |
| --- | --- |
| 6.896 | 66.6 |
| 4.050 | 100.0 |
| 3.970 | 30.9 |
| 3.666 | 41.3 |
| 3.448 | 36.4 |
| 3.361 | 67.8 |
| 3.145 | 65.6 |
| 3.108 | 41.7 |
| 3.043 | 32.8 |
| 2.876 | 38.8 |

Atomic structure:
```
data_Cs3HoTe3
_cell_length_a 9.562
_cell_length_b 9.562
_cell_length_c 9.342
_cell_angle_alpha 96.41
_cell_angle_beta 96.41
_cell_angle_gamma 113.63
_symmetry_space_group_name_H-M 'P 1'
_symmetry_Int_Tables_number 1
_symmetry_space_group_name_Hall 'P 1'
loop_
_atom_site_label
_atom_site_type_symbol
_atom_site_fract_x
_atom_site_fract_y
_atom_site_fract_z
Cs1 Cs 0.178 0.822 0.000
Cs2 Cs 0.249 0.751 0.500
Cs3 Cs 0.386 0.386 0.138
Cs4 Cs 0.614 0.614 0.862
Cs5 Cs 0.751 0.249 0.500
Cs6 Cs 0.822 0.178 0.000
Ho1 Ho 0.172 0.172 0.644
Ho2 Ho 0.828 0.828 0.356
Te1 Te 0.102 0.102 0.317
Te2 Te 0.156 0.452 0.776
Te3 Te 0.452 0.156 0.776
Te4 Te 0.548 0.844 0.224
Te5 Te 0.844 0.548 0.224
Te6 Te 0.898 0.898 0.683
```

[12]
For LiZn10Ga2, a structure optimized by DFT (GGA-PBE) gives the calculated PXRD pattern in this record (copper Kα).
Kinematic intensities with the Lorentz-polarization factor, no thermal factor.

Most intense lines, 2θ from 10° to 90°, in order of rising 2θ:
| d [Å] | I/Imax |
| --- | --- |
| 4.596 | 33.4 |
| 4.452 | 34.0 |
| 2.597 | 31.8 |
| 2.298 | 72.8 |
| 2.257 | 38.2 |
| 2.227 | 100.0 |
| 2.049 | 60.9 |
| 2.035 | 54.2 |
| 2.004 | 35.0 |
| 1.997 | 30.3 |

Atomic structure:
```
data_LiZn10Ga2
_cell_length_a 8.905
_cell_length_b 6.891
_cell_length_c 6.798
_cell_angle_alpha 81.16
_cell_angle_beta 49.88
_cell_angle_gamma 48.96
_symmetry_space_group_name_H-M 'P 1'
_symmetry_Int_Tables_number 1
_symmetry_space_group_name_Hall 'P 1'
loop_
_atom_site_label
_atom_site_type_symbol
_atom_site_fract_x
_atom_site_fract_y
_atom_site_fract_z
Li1 Li 0.000 0.000 0.000
Zn1 Zn 0.000 0.000 0.500
Zn2 Zn 0.006 0.647 0.353
Zn3 Zn 0.286 0.503 0.497
Zn4 Zn 0.353 0.994 0.006
Zn5 Zn 0.497 0.714 0.286
Zn6 Zn 0.500 0.500 0.000
Zn7 Zn 0.503 0.286 0.714
Zn8 Zn 0.647 0.006 0.994
Zn9 Zn 0.714 0.497 0.503
Zn10 Zn 0.994 0.353 0.647
Ga1 Ga 0.000 0.500 0.000
Ga2 Ga 0.500 0.000 0.500
```